(1)
La2MgV2O8: calculated X-ray diffraction stick pattern (Cu Kα, 1.54184 Å), based on a DFT-relaxed cell (GGA+U, the Materials Project).
Neutral-atom scattering factors, no anomalous dispersion.

The 8 most intense peaks (10° ≤ 2θ ≤ 90°), by intensity:
2θ/deg  d_spacing  I/Imax  hkl
23.26  3.824  100  2 0 0
30.91  2.893  40  1 1 -2
32.01  2.796  39  3 1 -2
33.13  2.704  28  2 2 0
47.52  1.913  23  5 1 -2
45.18  2.007  21  1 1 2
46.71  1.945  19  3 3 -2
45.91  1.976  15  1 3 -2

Structure:
abc: 9.8929 7.6567 6.6936
angles: 90.00 129.43 90.00
Space group C2 (No. 5)
Asymmetric unit:
La1 0.2312 0.0000 0.0998 [4 per cell]
Mg1 0.0000 0.2162 0.5000 [2 per cell]
V1 0.2352 0.4630 0.3634 [4 per cell]
O1 0.0597 0.4308 0.3757 [4 per cell]
O2 0.0779 0.0154 0.2949 [4 per cell]
O3 0.2409 0.8047 0.8070 [4 per cell]
O4 0.2483 0.1576 0.7914 [4 per cell]

(2)
Li4Cr3NiO8: calculated X-ray diffraction stick pattern (Cu Kα, 1.54184 Å), based on a DFT-relaxed cell (GGA+U, the Materials Project).
Neutral-atom scattering factors, no anomalous dispersion.

The 8 most intense peaks (10° ≤ 2θ ≤ 90°), by intensity:
2θ/deg  d_spacing  I/Imax  hkl
18.36  4.831  100  1 0 0
43.43  2.084  53  2 3 1
35.78  2.510  27  1 3 1
43.29  2.090  27  1 -2 2
63.00  1.475  14  0 1 -5
35.67  2.517  14  0 2 -2
62.91  1.477  14  3 1 3
47.48  1.915  13  2 1 3

Structure:
abc: 5.1181 7.7861 7.7953
angles: 81.97 83.78 71.11
Space group P-1 (No. 2)
Asymmetric unit:
Li1 0.9997 0.0629 0.3094 [2 per cell]
Li2 0.0008 0.3108 0.5643 [2 per cell]
Li3 0.0031 0.4355 0.1850 [2 per cell]
Li4 0.0051 0.1846 0.9405 [2 per cell]
Cr1 0.4981 0.2467 0.7541 [2 per cell]
Cr2 0.5000 0.0000 0.5000 [1 per cell]
Cr3 0.5000 0.3742 0.3743 [2 per cell]
Cr4 0.5000 0.5000 0.0000 [1 per cell]
Ni1 0.5004 0.1252 0.1254 [2 per cell]
O1 0.2674 0.0966 0.7116 [2 per cell]
O2 0.2685 0.3458 0.9609 [2 per cell]
O3 0.2733 0.2123 0.3479 [2 per cell]
O4 0.2736 0.7094 0.8439 [2 per cell]
O5 0.2736 0.9598 0.0974 [2 per cell]
O6 0.2774 0.5882 0.2178 [2 per cell]
O7 0.2769 0.8381 0.4670 [2 per cell]
O8 0.2805 0.4615 0.5931 [2 per cell]

(3)
YMg6CrO8: calculated X-ray diffraction stick pattern (Cu Kα, 1.54184 Å), based on a DFT-relaxed cell (GGA+U, the Materials Project).
Neutral-atom scattering factors, no anomalous dispersion.

The 8 most intense peaks (10° ≤ 2θ ≤ 90°), by intensity:
2θ/deg  d_spacing  I/Imax  hkl
40.96  2.203  100  2 0 0
58.49  1.578  57  2 0 4
39.87  2.261  50  0 0 4
34.97  2.566  47  1 1 2
59.32  1.558  29  2 2 0
73.87  1.283  26  2 2 4
30.34  2.946  24  1 1 1
19.63  4.522  18  0 0 2

Structure:
abc: 4.4066 4.4066 9.0433
angles: 90.00 90.00 90.00
Space group P4/mmm (No. 123)
Asymmetric unit:
Y1 0.0000 0.0000 0.0000 [1 per cell]
Mg1 0.0000 0.0000 0.5000 [1 per cell]
Mg2 0.0000 0.5000 0.2677 [4 per cell]
Mg3 0.5000 0.5000 0.5000 [1 per cell]
Cr1 0.5000 0.5000 0.0000 [1 per cell]
O1 0.0000 0.0000 0.2607 [2 per cell]
O2 0.0000 0.5000 0.0000 [2 per cell]
O3 0.0000 0.5000 0.5000 [2 per cell]
O4 0.5000 0.5000 0.2731 [2 per cell]

(4)
Cs2V4O9: calculated X-ray diffraction stick pattern (Cu Kα, 1.54184 Å), based on a DFT-relaxed cell (GGA+U, the Materials Project).
Neutral-atom scattering factors, no anomalous dispersion.

The 8 most intense peaks (10° ≤ 2θ ≤ 90°), by intensity:
2θ/deg  d_spacing  I/Imax  hkl
27.54  3.239  100  1 1 3
30.55  2.927  52  2 0 0
22.81  3.899  46  0 0 4
22.22  4.001  32  1 1 1
46.24  1.963  23  1 1 7
38.45  2.341  20  2 0 4
52.47  1.744  20  3 1 3
32.68  2.740  14  2 0 2

Structure:
abc: 5.8532 5.8532 15.6120
angles: 90.00 90.00 90.00
Space group P4_2/m (No. 84)
Asymmetric unit:
Cs1 0.2326 0.2496 0.0000 [4 per cell]
V1 0.2118 0.3547 0.2973 [8 per cell]
O1 0.1195 0.6801 0.2827 [8 per cell]
O2 0.2632 0.2821 0.3990 [8 per cell]
O3 0.5000 0.5000 0.2500 [2 per cell]

(5)
VP4O12: calculated X-ray diffraction stick pattern (Cu Kα, 1.54184 Å), based on a DFT-relaxed cell (GGA+U, the Materials Project).
Neutral-atom scattering factors, no anomalous dispersion.

The 8 most intense peaks (10° ≤ 2θ ≤ 90°), by intensity:
2θ/deg  d_spacing  I/Imax  hkl
29.73  3.005  100  0 2 2
19.20  4.622  59  2 0 -2
18.86  4.706  57  1 1 1
27.15  3.285  51  2 2 0
14.47  6.122  45  1 1 -1
24.23  3.673  39  3 1 -1
13.49  6.563  31  1 1 0
26.61  3.350  27  3 1 0

Structure:
abc: 12.3477 8.1708 9.9444
angles: 90.00 116.85 90.00
Space group C2/c (No. 15)
Asymmetric unit:
V1 0.2500 0.2500 0.0000 [4 per cell]
P1 0.0055 0.2472 0.0329 [8 per cell]
P2 0.1785 0.0164 0.6885 [8 per cell]
O1 0.0088 0.3948 0.3957 [8 per cell]
O2 0.0640 0.0967 0.1551 [8 per cell]
O3 0.0809 0.2447 0.9426 [8 per cell]
O4 0.1258 0.1703 0.5791 [8 per cell]
O5 0.2307 0.0744 0.8493 [8 per cell]
O6 0.2338 0.4236 0.8512 [8 per cell]

(6)
Li3V3O5F3: calculated X-ray diffraction stick pattern (Cu Kα, 1.54184 Å), based on a DFT-relaxed cell (GGA+U, the Materials Project).
Neutral-atom scattering factors, no anomalous dispersion.

The 8 most intense peaks (10° ≤ 2θ ≤ 90°), by intensity:
2θ/deg  d_spacing  I/Imax  hkl
35.01  2.563  100  0 2 1
18.39  4.824  83  0 0 1
62.16  1.493  57  2 2 2
42.94  2.106  44  2 2 -2
35.27  2.544  42  4 0 -1
20.97  4.236  41  2 0 0
30.46  2.934  38  2 0 -2
21.09  4.213  26  1 1 -1

Structure:
abc: 10.3010 6.0507 5.8685
angles: 90.00 124.68 90.00
Space group Cm (No. 8)
Asymmetric unit:
Li1 0.0000 0.0000 0.0000 [2 per cell]
Li2 0.0054 0.0000 0.5033 [2 per cell]
Li3 0.1252 0.5000 0.8569 [2 per cell]
V1 0.2484 0.2541 0.5087 [4 per cell]
V2 0.3846 0.0000 0.1381 [2 per cell]
O1 0.0162 0.2608 0.2627 [4 per cell]
O2 0.2560 0.0000 0.7517 [2 per cell]
O3 0.2597 0.0000 0.2759 [2 per cell]
O4 0.2634 0.5000 0.7312 [2 per cell]
F1 0.2603 0.5000 0.2654 [2 per cell]
F2 0.4888 0.2611 0.7307 [4 per cell]

(7)
Mn3Cr3W2O16: calculated X-ray diffraction stick pattern (Cu Kα, 1.54184 Å), based on a DFT-relaxed cell (GGA+U, the Materials Project).
Neutral-atom scattering factors, no anomalous dispersion.

The 8 most intense peaks (10° ≤ 2θ ≤ 90°), by intensity:
2θ/deg  d_spacing  I/Imax  hkl
19.69  4.508  100  -1 1 1
19.76  4.493  49  0 1 1
35.93  2.499  29  2 -1 2
36.17  2.483  29  2 -2 1
34.01  2.636  23  1 0 3
33.87  2.646  23  1 -1 3
25.85  3.447  22  0 1 -2
35.77  2.510  20  1 -2 2

Structure:
abc: 5.9506 5.9616 9.2246
angles: 90.28 90.12 119.94
Space group P1 (No. 1)
Asymmetric unit:
Mn1 0.0000 0.0000 0.0000 [1 per cell]
Mn2 0.1658 0.3333 0.5015 [1 per cell]
Mn3 0.6629 0.8342 0.4947 [1 per cell]
Cr1 0.4905 0.9979 0.0000 [1 per cell]
Cr2 0.6573 0.3328 0.4996 [1 per cell]
Cr3 0.9956 0.5004 0.9971 [1 per cell]
W1 0.1599 0.8260 0.2772 [1 per cell]
W2 0.4999 0.5013 0.7795 [1 per cell]
O1 0.0011 0.5119 0.3851 [1 per cell]
O2 0.0106 0.9996 0.3812 [1 per cell]
O3 0.1549 0.8361 0.8958 [1 per cell]
O4 0.1751 0.3323 0.8854 [1 per cell]
O5 0.2981 0.1206 0.1266 [1 per cell]
O6 0.3027 0.6899 0.1312 [1 per cell]
O7 0.3305 0.6238 0.6323 [1 per cell]
O8 0.3393 0.2065 0.6242 [1 per cell]
O9 0.4770 0.0012 0.3776 [1 per cell]
O10 0.4881 0.5036 0.3986 [1 per cell]
O11 0.6469 0.3323 0.8834 [1 per cell]
O12 0.6520 0.8177 0.8835 [1 per cell]
O13 0.7769 0.6292 0.6383 [1 per cell]
O14 0.8304 0.1601 0.5922 [1 per cell]
O15 0.8333 0.1630 0.0945 [1 per cell]
O16 0.8724 0.6967 0.1264 [1 per cell]

(8)
MgCr3S6O24: calculated X-ray diffraction stick pattern (Cu Kα, 1.54184 Å), based on a DFT-relaxed cell (GGA+U, the Materials Project).
Neutral-atom scattering factors, no anomalous dispersion.

The 8 most intense peaks (10° ≤ 2θ ≤ 90°), by intensity:
2θ/deg  d_spacing  I/Imax  hkl
24.48  3.637  100  2 -1 3
14.61  6.064  47  0 1 2
32.22  2.778  36  2 -1 6
20.09  4.420  34  1 0 4
29.46  3.032  31  0 2 4
52.95  1.729  13  3 -1 10
33.08  2.708  12  3 -1 1
39.36  2.289  10  3 0 3

Structure:
abc: 8.3331 8.3331 22.3635
angles: 90.00 90.00 120.00
Space group R3 (No. 146, hexagonal axes)
Asymmetric unit:
Mg1 0.0000 0.0000 0.0000 [3 per cell]
Cr1 0.0000 0.0000 0.2079 [3 per cell]
Cr2 0.0000 0.0000 0.4966 [3 per cell]
Cr3 0.0000 0.0000 0.7026 [3 per cell]
S1 0.0031 0.7103 0.1022 [9 per cell]
S2 0.0504 0.3784 0.2694 [9 per cell]
O1 0.0391 0.8299 0.4432 [9 per cell]
O2 0.0790 0.8495 0.0548 [9 per cell]
O3 0.0794 0.8545 0.7548 [9 per cell]
O4 0.1338 0.6771 0.8269 [9 per cell]
O5 0.1364 0.4666 0.2116 [9 per cell]
O6 0.1575 0.4665 0.9303 [9 per cell]
O7 0.1814 0.4305 0.6168 [9 per cell]
O8 0.1947 0.4431 0.3175 [9 per cell]

(9)
Li4Ni3Sb5O16: calculated X-ray diffraction stick pattern (Cu Kα, 1.54184 Å), based on a DFT-relaxed cell (GGA+U, the Materials Project).
Neutral-atom scattering factors, no anomalous dispersion.

The 8 most intense peaks (10° ≤ 2θ ≤ 90°), by intensity:
2θ/deg  d_spacing  I/Imax  hkl
18.66  4.755  100  1 1 1
34.61  2.592  85  4 0 0
17.11  5.182  74  2 0 0
30.80  2.903  60  3 1 -1
23.92  3.720  60  2 0 -2
33.88  2.646  59  2 1 3
18.78  4.726  46  1 0 2
42.74  2.116  42  3 2 2

Structure:
abc: 10.3644 6.1974 10.6346
angles: 90.00 90.16 90.00
Space group Pm (No. 6)
Asymmetric unit:
Li1 0.0000 0.0000 0.0000 [1 per cell]
Li2 0.0019 0.5000 0.4920 [1 per cell]
Li3 0.3881 0.5000 0.8292 [1 per cell]
Li4 0.3980 0.0000 0.3345 [1 per cell]
Li5 0.4782 0.0000 0.0178 [1 per cell]
Li6 0.4838 0.5000 0.4924 [1 per cell]
Li7 0.8818 0.0000 0.6746 [1 per cell]
Li8 0.8848 0.5000 0.1747 [1 per cell]
Ni1 0.2138 0.2461 0.5751 [2 per cell]
Ni2 0.2207 0.2530 0.0734 [2 per cell]
Ni3 0.7038 0.5000 0.6640 [1 per cell]
Ni4 0.7079 0.0000 0.1704 [1 per cell]
Sb1 0.0139 0.5000 0.8143 [1 per cell]
Sb2 0.0186 0.0000 0.3154 [1 per cell]
Sb3 0.2151 0.0000 0.8210 [1 per cell]
Sb4 0.2256 0.5000 0.3223 [1 per cell]
Sb5 0.4681 0.0000 0.6478 [1 per cell]
Sb6 0.4798 0.5000 0.1520 [1 per cell]
Sb7 0.7043 0.2536 0.9166 [2 per cell]
Sb8 0.7098 0.2466 0.4098 [2 per cell]
O1 0.0993 0.5000 0.6475 [1 per cell]
O2 0.1069 0.0000 0.6658 [1 per cell]
O3 0.1067 0.2342 0.9067 [2 per cell]
O4 0.1083 0.0000 0.1508 [1 per cell]
O5 0.1130 0.2681 0.4003 [2 per cell]
O6 0.1241 0.5000 0.1644 [1 per cell]
O7 0.3079 0.0000 0.9852 [1 per cell]
O8 0.3104 0.5000 0.4878 [1 per cell]
O9 0.3330 0.2223 0.7385 [2 per cell]
O10 0.3386 0.0000 0.5082 [1 per cell]
O11 0.3536 0.5000 0.0128 [1 per cell]
O12 0.3565 0.2835 0.2385 [2 per cell]
O13 0.5884 0.2492 0.0782 [2 per cell]
O14 0.5914 0.0000 0.8695 [1 per cell]
O15 0.5913 0.5000 0.3233 [1 per cell]
O16 0.5961 0.2779 0.5552 [2 per cell]
O17 0.5956 0.5000 0.8405 [1 per cell]
O18 0.6008 0.0000 0.3334 [1 per cell]
O19 0.8027 0.5000 0.9989 [1 per cell]
O20 0.8036 0.2573 0.7617 [2 per cell]
O21 0.8062 0.0000 0.0015 [1 per cell]
O22 0.8071 0.0000 0.4923 [1 per cell]
O23 0.8124 0.5000 0.4874 [1 per cell]
O24 0.8134 0.2399 0.2570 [2 per cell]